# 1
Cs2Hg2PdCl8: calculated X-ray diffraction stick pattern (Cu Kα (λ = 1.5418 Å)), based on a structure optimized by DFT (PBE).
Lines closer than 0.1° are merged.

Crystal structure
Lattice parameters (Å, degrees): 12.0439 7.0852 10.2704 90.00 110.98 90.00
Space group C2/m (No. 12)
One atom of each set of equivalent atoms:
Cs: 0.1058 0.0000 0.3299
Hg: 0.1314 0.5000 0.8954
Pd: 0.0000 0.5000 0.5000
Cl: 0.0780 0.5000 0.1882
Cl: 0.1267 0.2692 0.6364
Cl: 0.1598 0.0000 0.9991

Principal peaks in the range 10° ≤ 2θ ≤ 90°, most intense first:
18.9°, d 4.696, rel. 100.0, (1 1 1)
29.0°, d 3.075, rel. 98.6, (1 1 -3)
25.5°, d 3.491, rel. 85.0, (3 1 -1)
25.1°, d 3.543, rel. 68.3, (0 2 0)
32.1°, d 2.792, rel. 58.5, (2 2 -2)
38.3°, d 2.348, rel. 37.5, (2 2 2)
52.4°, d 1.746, rel. 35.7, (6 2 -2)
14.8°, d 5.995, rel. 35.1, (1 1 0)
26.7°, d 3.340, rel. 35.0, (2 0 -3)
31.8°, d 2.811, rel. 33.9, (4 0 0)

***

# 2
Na4MgZnPt2: calculated X-ray diffraction stick pattern (Cu Kα (λ = 1.5418 Å)), based on a structure optimized by DFT (PBE).
Lines closer than 0.1° are merged.

Crystal structure
Lattice parameters (Å, degrees): 4.7315 4.7315 6.7418 90.00 90.00 90.00
Space group P-4m2 (No. 115)
One atom of each set of equivalent atoms:
Na: 0.0000 0.0000 0.0000
Na: 0.0000 0.5000 0.7371
Na: 0.5000 0.5000 0.5000
Mg: 0.5000 0.5000 0.0000
Zn: 0.0000 0.0000 0.5000
Pt: 0.0000 0.5000 0.2534

Principal peaks in the range 10° ≤ 2θ ≤ 90°, most intense first:
23.0°, d 3.873, rel. 100.0, (1 0 1)
37.9°, d 2.375, rel. 82.0, (1 1 2)
38.0°, d 2.366, rel. 40.7, (2 0 0)
44.9°, d 2.019, rel. 35.3, (2 1 1)
68.6°, d 1.368, rel. 27.8, (3 1 2)
26.6°, d 3.346, rel. 24.8, (1 1 0)
44.6°, d 2.030, rel. 18.0, (1 0 3)
60.1°, d 1.541, rel. 15.3, (2 1 3)
68.3°, d 1.373, rel. 13.9, (2 0 4)
54.9°, d 1.673, rel. 13.9, (2 2 0)

***

# 3
Cu5Ag4: calculated X-ray diffraction stick pattern (Cu Kα (λ = 1.5418 Å)), based on a structure optimized by DFT (PBE).
Lines closer than 0.1° are merged.

Crystal structure
Lattice parameters (Å, degrees): 2.8147 8.5399 10.8993 90.00 90.00 90.00
Space group Imm2 (No. 44)
One atom of each set of equivalent atoms:
Cu: 0.0000 0.0000 0.0000
Cu: 0.0000 0.2968 0.0006
Cu: 0.0000 0.3494 0.3441
Ag: 0.0000 0.0000 0.3708
Ag: 0.0000 0.0000 0.6552
Ag: 0.0000 0.3337 0.6813

Principal peaks in the range 10° ≤ 2θ ≤ 90°, most intense first:
40.5°, d 2.225, rel. 100.0, (1 0 3)
40.2°, d 2.241, rel. 92.5, (0 3 3)
45.3°, d 2.001, rel. 69.8, (1 3 0)
69.9°, d 1.345, rel. 26.3, (1 3 6)
80.6°, d 1.192, rel. 21.7, (2 3 3)
50.2°, d 1.817, rel. 20.9, (0 0 6)
80.0°, d 1.199, rel. 18.7, (1 6 3)
32.9°, d 2.725, rel. 14.0, (0 0 4)
87.7°, d 1.112, rel. 13.3, (2 0 6)
39.2°, d 2.297, rel. 12.9, (0 2 4)

***

# 4
Ta3CuP5: calculated X-ray diffraction stick pattern (Cu Kα (λ = 1.5418 Å)), based on a structure optimized by DFT (PBE).
Lines closer than 0.1° are merged.

Crystal structure
Lattice parameters (Å, degrees): 5.7551 5.7551 5.8102 90.00 90.00 120.00
Space group P6/mmm (No. 191)
One atom of each set of equivalent atoms:
Ta: 0.0000 0.5000 0.0000
Cu: 0.0000 0.0000 0.5000
P: 0.0000 0.0000 0.0000
P: 0.3333 0.6667 0.3177

Principal peaks in the range 10° ≤ 2θ ≤ 90°, most intense first:
15.2°, d 5.810, rel. 100.0, (0 0 1)
39.3°, d 2.290, rel. 81.1, (2 0 1)
48.1°, d 1.891, rel. 76.1, (2 0 2)
36.0°, d 2.492, rel. 62.6, (2 0 0)
23.5°, d 3.783, rel. 40.2, (1 0 1)
34.8°, d 2.579, rel. 30.0, (1 1 1)
30.8°, d 2.905, rel. 29.4, (0 0 2)
17.8°, d 4.984, rel. 21.9, (1 0 0)
64.8°, d 1.439, rel. 19.3, (2 2 0)
75.8°, d 1.255, rel. 18.0, (2 0 4)